(1)
For NdTa7O19, a cell relaxed with GGA-PBE gives the calculated X-ray powder pattern in this record (Cu Kα (weighted mean of Kα1 and Kα2)).
Neutral-atom scattering factors, no anomalous dispersion.

Top 10 peaks for 2θ = 10–90°, in order of rising 2θ:
2θ/deg  I_rel
16.3  29
17.6  25
26.5  64
28.7  100
29.8  41
33.6  49
36.2  51
50.2  40
54.0  23
57.7  40

Structure:
a = 6.290 Å, b = 6.290 Å, c = 20.151 Å
α = 90.00°, β = 90.00°, γ = 120.00°
Positions (direct):
Nd 0.000 0.000 0.000
Nd 0.000 0.000 0.500
Ta 0.335 0.026 0.156
Ta 0.335 0.026 0.344
Ta 0.335 0.309 0.656
Ta 0.335 0.309 0.844
Ta 0.667 0.333 0.000
Ta 0.667 0.333 0.500
Ta 0.691 0.026 0.656
Ta 0.691 0.026 0.844
Ta 0.691 0.665 0.156
Ta 0.691 0.665 0.344
Ta 0.974 0.309 0.156
Ta 0.974 0.309 0.344
Ta 0.974 0.665 0.656
Ta 0.974 0.665 0.844
O 0.000 0.000 0.132
O 0.000 0.000 0.368
O 0.000 0.000 0.632
O 0.000 0.000 0.868
O 0.088 0.421 0.653
O 0.088 0.421 0.847
O 0.088 0.667 0.153
O 0.088 0.667 0.347
O 0.292 0.042 0.250
O 0.292 0.250 0.750
O 0.333 0.421 0.153
O 0.333 0.421 0.347
O 0.333 0.912 0.653
O 0.333 0.912 0.847
O 0.385 0.098 0.057
O 0.385 0.098 0.443
O 0.385 0.287 0.557
O 0.385 0.287 0.943
O 0.579 0.667 0.653
O 0.579 0.667 0.847
O 0.579 0.912 0.153
O 0.579 0.912 0.347
O 0.667 0.333 0.167
O 0.667 0.333 0.333
O 0.667 0.333 0.667
O 0.667 0.333 0.833
O 0.713 0.098 0.557
O 0.713 0.098 0.943
O 0.713 0.615 0.057
O 0.713 0.615 0.443
O 0.750 0.042 0.750
O 0.750 0.708 0.250
O 0.902 0.287 0.057
O 0.902 0.287 0.443
O 0.902 0.615 0.557
O 0.902 0.615 0.943
O 0.958 0.250 0.250
O 0.958 0.708 0.750



(2)
For NdTaO4, a cell relaxed with GGA-PBE gives the calculated X-ray powder pattern in this record (Cu Kα (weighted mean of Kα1 and Kα2)).
Neutral-atom scattering factors, no anomalous dispersion.

Top 10 peaks for 2θ = 10–90°, in order of rising 2θ:
2θ/deg  I_rel
24.1  66
24.8  56
32.2  100
34.8  33
47.8  45
48.6  36
50.8  11
57.0  12
60.8  23
67.5  11

Structure:
a = 5.155 Å, b = 5.155 Å, c = 3.297 Å
α = 90.00°, β = 90.00°, γ = 91.63°
Positions (direct):
Nd 0.000 0.000 0.000
Ta 0.500 0.500 0.500
O 0.228 0.228 0.500
O 0.328 0.672 0.000
O 0.672 0.328 0.000
O 0.772 0.772 0.500



(3)
For Nd3TaO7, a cell relaxed with GGA-PBE gives the calculated X-ray powder pattern in this record (Cu Kα (weighted mean of Kα1 and Kα2)).
Neutral-atom scattering factors, no anomalous dispersion.

Top 10 peaks for 2θ = 10–90°, in order of rising 2θ:
2θ/deg  I_rel
28.2  100
28.6  92
32.5  23
33.1  45
47.1  68
55.4  11
55.6  11
56.0  28
56.7  19
58.4  10

Structure:
a = 6.682 Å, b = 6.682 Å, c = 7.726 Å
α = 90.00°, β = 90.00°, γ = 68.97°
Positions (direct):
Nd 0.000 0.000 0.000
Nd 0.000 0.000 0.500
Nd 0.066 0.480 0.750
Nd 0.480 0.066 0.250
Nd 0.520 0.934 0.750
Nd 0.934 0.520 0.250
Ta 0.500 0.500 0.000
Ta 0.500 0.500 0.500
O 0.110 0.153 0.250
O 0.153 0.110 0.750
O 0.186 0.561 0.033
O 0.186 0.561 0.467
O 0.433 0.567 0.750
O 0.439 0.814 0.033
O 0.439 0.814 0.467
O 0.561 0.186 0.533
O 0.561 0.186 0.967
O 0.567 0.433 0.250
O 0.814 0.439 0.533
O 0.814 0.439 0.967
O 0.847 0.890 0.250
O 0.890 0.847 0.750